Record 1
TbHoZn2Sn2: computed X-ray diffraction stick pattern (a wavelength of 1.5418 Å), based on a GGA-PBE-relaxed structure.

Crystal structure
```
TbHoZn2Sn2
1.0
4.506 0.000 0.000
-2.253 3.903 0.000
0.000 0.000 15.779
Tb Ho Zn Sn
2 2 4 4
Direct
0.000 0.000 0.250
0.000 0.000 0.750
0.000 0.000 0.000
0.000 0.000 0.500
0.333 0.667 0.160
0.333 0.667 0.340
0.667 0.333 0.660
0.667 0.333 0.840
0.333 0.667 0.613
0.333 0.667 0.887
0.667 0.333 0.113
0.667 0.333 0.387
```

Largest 10 diffraction maxima, sorted by position, 2θ from 15° to 90°:
22.8°, rel. 8
28.5°, rel. 16
32.3°, rel. 100
40.0°, rel. 60
46.5°, rel. 14
52.3°, rel. 26
62.6°, rel. 16
67.8°, rel. 24
72.7°, rel. 10
86.4°, rel. 7

---

Record 2
HoZr6Sn4: computed X-ray diffraction stick pattern (a wavelength of 1.5418 Å), based on a GGA-PBE-relaxed structure.

Crystal structure
```
HoZr6Sn4
1.0
3.049 1.761 8.007
-3.049 1.761 8.007
0.000 -3.521 8.007
Ho Zr Sn
1 6 4
Direct
0.000 0.000 0.000
0.107 0.604 0.604
0.396 0.396 0.893
0.396 0.893 0.396
0.604 0.107 0.604
0.604 0.604 0.107
0.893 0.396 0.396
0.124 0.124 0.124
0.333 0.333 0.333
0.667 0.667 0.667
0.876 0.876 0.876
```

Largest 10 diffraction maxima, sorted by position, 2θ from 15° to 90°:
29.3°, rel. 73
31.4°, rel. 56
33.6°, rel. 100
34.2°, rel. 99
37.1°, rel. 100
37.2°, rel. 86
38.9°, rel. 77
45.1°, rel. 38
60.7°, rel. 63
71.2°, rel. 68

---

Record 3
Sr2Ho: computed X-ray diffraction stick pattern (a wavelength of 1.5418 Å), based on a GGA-PBE-relaxed structure.

Crystal structure
```
Sr2Ho
1.0
0.000 5.136 5.136
5.136 0.000 5.136
5.136 5.136 0.000
Sr Ho
4 2
Direct
0.000 0.000 0.000
0.000 0.000 0.500
0.000 0.500 0.000
0.500 0.000 0.000
0.375 0.375 0.375
0.625 0.625 0.625
```

Largest 10 diffraction maxima, sorted by position, 2θ from 15° to 90°:
24.5°, rel. 48
28.8°, rel. 100
30.1°, rel. 23
43.1°, rel. 21
45.9°, rel. 37
50.2°, rel. 30
59.0°, rel. 13
68.3°, rel. 11
70.4°, rel. 23
81.1°, rel. 12

---

Record 4
TbHo: computed X-ray diffraction stick pattern (a wavelength of 1.5418 Å), based on a GGA-PBE-relaxed structure.

Crystal structure
```
TbHo
1.0
3.604 0.000 0.000
-1.802 3.121 0.000
0.000 0.000 5.624
Tb Ho
1 1
Direct
0.000 0.000 0.000
0.333 0.667 0.500
```

Largest 10 diffraction maxima, sorted by position, 2θ from 15° to 90°:
28.6°, rel. 24
31.8°, rel. 24
32.8°, rel. 100
43.3°, rel. 16
50.7°, rel. 20
57.3°, rel. 20
61.1°, rel. 23
61.7°, rel. 16
83.8°, rel. 14
88.1°, rel. 8

---

Record 5
TbHoTm: computed X-ray diffraction stick pattern (a wavelength of 1.5418 Å), based on a GGA-PBE-relaxed structure.

Crystal structure
```
TbHoTm
1.0
0.000 3.800 3.800
3.800 0.000 3.800
3.800 3.800 0.000
Tb Ho Tm
1 1 1
Direct
0.000 0.000 0.000
0.250 0.250 0.250
0.500 0.500 0.500
```

Largest 10 diffraction maxima, sorted by position, 2θ from 15° to 90°:
20.2°, rel. 26
23.4°, rel. 14
33.3°, rel. 100
39.3°, rel. 14
47.9°, rel. 18
52.5°, rel. 6
54.0°, rel. 6
59.6°, rel. 38
70.0°, rel. 12
79.8°, rel. 17

---

Record 6
TbHoZn4: computed X-ray diffraction stick pattern (a wavelength of 1.5418 Å), based on a GGA-PBE-relaxed structure.

Crystal structure
```
TbHoZn4
1.0
-2.232 3.547 3.770
2.232 -3.547 3.770
2.232 3.547 -3.770
Tb Ho Zn
1 1 4
Direct
0.000 0.000 0.000
0.560 0.060 0.500
0.158 0.364 0.794
0.402 0.696 0.706
0.570 0.364 0.206
0.990 0.696 0.294
```

Largest 10 diffraction maxima, sorted by position, 2θ from 15° to 90°:
23.2°, rel. 20
33.6°, rel. 19
34.4°, rel. 100
34.7°, rel. 44
40.4°, rel. 31
41.2°, rel. 49
54.3°, rel. 28
66.8°, rel. 12
68.0°, rel. 11
69.7°, rel. 13

---

Record 7
Ho2Tc: computed X-ray diffraction stick pattern (a wavelength of 1.5418 Å), based on a GGA-PBE-relaxed structure.

Crystal structure
```
Ho2Tc
1.0
0.000 4.117 4.117
4.117 0.000 4.117
4.117 4.117 0.000
Ho Tc
4 2
Direct
0.000 0.000 0.000
0.000 0.000 0.500
0.000 0.500 0.000
0.500 0.000 0.000
0.375 0.375 0.375
0.625 0.625 0.625
```

Largest 10 diffraction maxima, sorted by position, 2θ from 15° to 90°:
18.7°, rel. 26
30.7°, rel. 15
36.2°, rel. 100
37.8°, rel. 57
44.0°, rel. 14
48.2°, rel. 7
58.2°, rel. 34
64.0°, rel. 31
75.7°, rel. 12
76.8°, rel. 22

---

Record 8
Ho2Te3: computed X-ray diffraction stick pattern (a wavelength of 1.5418 Å), based on a GGA-PBE-relaxed structure.

Crystal structure
```
Ho2Te3
1.0
0.000 6.129 12.990
4.342 0.000 12.990
4.342 6.129 0.000
Ho Te
8 12
Direct
0.042 0.042 0.208
0.125 0.125 0.625
0.208 0.208 0.042
0.375 0.375 0.875
0.625 0.625 0.125
0.792 0.792 0.958
0.875 0.875 0.375
0.958 0.958 0.792
0.043 0.541 0.208
0.128 0.622 0.622
0.208 0.708 0.043
0.292 0.792 0.459
0.378 0.872 0.872
0.459 0.957 0.292
0.541 0.043 0.708
0.622 0.128 0.128
0.708 0.208 0.541
0.792 0.292 0.957
0.872 0.378 0.378
0.957 0.459 0.792
```

Largest 10 diffraction maxima, sorted by position, 2θ from 15° to 90°:
29.1°, rel. 100
41.7°, rel. 63
41.7°, rel. 13
51.6°, rel. 14
51.7°, rel. 13
60.4°, rel. 13
68.4°, rel. 17
68.5°, rel. 17
76.0°, rel. 13
76.1°, rel. 13